Record 1
Theoretical X-ray diffraction stick pattern of Ac2Si3 for CuKα, from a crystal structure in Alexandria, relaxed with PBE.
Lines closer than 0.1° are merged.

The 8 most intense peaks (10° ≤ 2θ ≤ 80°), most intense first:
Position (°2θ)  d [Å]  I_rel
23.97  3.713  100.0
26.85  3.321  77.8
43.97  2.059  61.5
31.89  2.807  48.2
40.28  2.239  36.4
47.42  1.917  28.8
65.30  1.429  26.9
20.72  4.287  25.1

Atomic structure:
a = 9.094 Å, b = 9.094 Å, c = 9.094 Å
α = 109.47°, β = 109.47°, γ = 109.47°
Sites, in units of the cell vectors:
Ac 0.000 0.089 0.500
Ac 0.000 0.589 0.500
Ac 0.089 0.500 0.000
Ac 0.411 0.411 0.411
Ac 0.500 0.000 0.089
Ac 0.500 0.000 0.589
Ac 0.589 0.500 0.000
Ac 0.911 0.911 0.911
Si 0.017 0.767 0.250
Si 0.233 0.983 0.250
Si 0.250 0.017 0.767
Si 0.250 0.233 0.983
Si 0.267 0.517 0.750
Si 0.483 0.733 0.750
Si 0.517 0.750 0.267
Si 0.733 0.750 0.483
Si 0.750 0.267 0.517
Si 0.750 0.483 0.733
Si 0.767 0.250 0.017
Si 0.983 0.250 0.233

Record 2
Theoretical X-ray diffraction stick pattern of LiAg3Br6 for CuKα, from a crystal structure in Alexandria, relaxed with PBE.
Lines closer than 0.1° are merged.

The 8 most intense peaks (10° ≤ 2θ ≤ 80°), most intense first:
Position (°2θ)  d [Å]  I_rel
38.28  2.351  100.0
23.71  3.752  59.2
24.66  3.610  42.8
22.11  4.021  38.5
33.42  2.681  31.1
42.62  2.121  24.2
44.32  2.044  17.8
12.88  6.873  15.6

Atomic structure:
a = 8.475 Å, b = 8.475 Å, c = 4.242 Å
α = 90.00°, β = 90.00°, γ = 108.38°
Sites, in units of the cell vectors:
Li 0.000 0.000 0.000
Ag 0.000 0.500 0.500
Ag 0.500 0.000 0.500
Ag 0.500 0.500 0.000
Br 0.143 0.857 0.500
Br 0.184 0.438 0.000
Br 0.438 0.184 0.000
Br 0.562 0.816 0.000
Br 0.816 0.562 0.000
Br 0.857 0.143 0.500

Record 3
Theoretical X-ray diffraction stick pattern of La2MnGe4Pd3 for CuKα, from a crystal structure in Alexandria, relaxed with PBE.
Lines closer than 0.1° are merged.

The 8 most intense peaks (10° ≤ 2θ ≤ 80°), most intense first:
Position (°2θ)  d [Å]  I_rel
33.86  2.647  100.0
32.89  2.723  77.0
41.67  2.167  69.1
54.08  1.696  37.0
48.14  1.890  32.0
65.53  1.425  25.0
60.40  1.533  22.6
71.08  1.326  22.3

Atomic structure:
a = 4.335 Å, b = 4.335 Å, c = 10.502 Å
α = 90.00°, β = 90.00°, γ = 90.00°
Sites, in units of the cell vectors:
La 0.000 0.500 0.247
La 0.500 0.000 0.753
Mn 0.000 0.000 0.500
Ge 0.000 0.000 0.000
Ge 0.000 0.500 0.631
Ge 0.500 0.000 0.369
Ge 0.500 0.500 0.000
Pd 0.000 0.500 0.872
Pd 0.500 0.000 0.128
Pd 0.500 0.500 0.500

Record 4
Theoretical X-ray diffraction stick pattern of Hf3Ru2Rh for CuKα, from a crystal structure in Alexandria, relaxed with PBE.
Lines closer than 0.1° are merged.

The 8 most intense peaks (10° ≤ 2θ ≤ 80°), most intense first:
Position (°2θ)  d [Å]  I_rel
39.26  2.295  100.0
39.07  2.305  50.7
70.91  1.329  34.9
56.45  1.630  17.3
71.28  1.323  17.2
57.00  1.616  8.4
27.36  3.260  8.2
27.60  3.231  4.0

Atomic structure:
a = 3.260 Å, b = 3.260 Å, c = 9.694 Å
α = 90.00°, β = 90.00°, γ = 90.00°
Sites, in units of the cell vectors:
Hf 0.000 0.000 0.000
Hf 0.000 0.000 0.332
Hf 0.000 0.000 0.668
Ru 0.500 0.500 0.168
Ru 0.500 0.500 0.832
Rh 0.500 0.500 0.500